No. 1
# Hf3Ni2B
Computed powder diffraction line list, Cu Kα, 1.54184 Å. Input: a PBE-relaxed structure.
No peak broadening, texture or thermal motion is included.

Structural model:
```
data_Hf3Ni2B
_cell_length_a 4.861
_cell_length_b 10.146
_cell_length_c 7.829
_cell_angle_alpha 90.00
_cell_angle_beta 90.00
_cell_angle_gamma 90.00
_symmetry_space_group_name_H-M 'F m m 2'
_symmetry_Int_Tables_number 42
_symmetry_space_group_name_Hall 'F 2 -2'
loop_
_atom_site_label
_atom_site_type_symbol
_atom_site_fract_x
_atom_site_fract_y
_atom_site_fract_z
_atom_site_occupancy
Hf1 Hf 0.000 0.000 0.000 1
Hf2 Hf 0.000 0.144 0.642 1
Ni1 Ni 0.250 0.250 0.399 1
B1 B 0.000 0.000 0.349 1
```

Largest 8 diffraction maxima, by intensity, 2θ = 10–90°:
34.27°, rel. 100, hkl 1 3 1
40.22°, rel. 49, hkl 1 1 3
42.47°, rel. 37, hkl 0 4 2
23.26°, rel. 36, hkl 1 1 1
43.85°, rel. 27, hkl 2 0 2
22.72°, rel. 22, hkl 0 0 2
72.32°, rel. 20, hkl 2 4 4
47.55°, rel. 19, hkl 2 2 2

***

No. 2
# Cu5Ag4
Computed powder diffraction line list, Cu Kα, 1.54184 Å. Input: a PBE-relaxed structure.
No peak broadening, texture or thermal motion is included.

Structural model:
```
data_Cu5Ag4
_cell_length_a 2.768
_cell_length_b 3.740
_cell_length_c 25.200
_cell_angle_alpha 90.00
_cell_angle_beta 90.00
_cell_angle_gamma 90.00
_symmetry_space_group_name_H-M 'I m m 2'
_symmetry_Int_Tables_number 44
_symmetry_space_group_name_Hall 'I 2 -2'
loop_
_atom_site_label
_atom_site_type_symbol
_atom_site_fract_x
_atom_site_fract_y
_atom_site_fract_z
_atom_site_occupancy
Cu1 Cu 0.000 0.000 0.000 1
Cu2 Cu 0.000 0.000 0.097 1
Cu3 Cu 0.000 0.000 0.339 1
Cu4 Cu 0.000 0.000 0.451 1
Cu5 Cu 0.000 0.000 0.548 1
Ag1 Ag 0.000 0.000 0.218 1
Ag2 Ag 0.000 0.000 0.653 1
Ag3 Ag 0.000 0.000 0.783 1
Ag4 Ag 0.000 0.000 0.895 1
```

Largest 8 diffraction maxima, by intensity, 2θ = 10–90°:
40.54°, rel. 100, hkl 1 1 0
40.24°, rel. 83, hkl 0 1 9
46.11°, rel. 55, hkl 1 0 9
69.31°, rel. 30, hkl 1 2 9
48.70°, rel. 29, hkl 0 2 0
81.78°, rel. 20, hkl 2 1 9
34.58°, rel. 19, hkl 0 1 7
41.14°, rel. 12, hkl 1 0 7

***

No. 3
# TaCu2Ge
Computed powder diffraction line list, Cu Kα, 1.54184 Å. Input: a PBE-relaxed structure.
No peak broadening, texture or thermal motion is included.

Structural model:
```
data_TaCu2Ge
_cell_length_a 6.148
_cell_length_b 6.148
_cell_length_c 6.148
_cell_angle_alpha 90.00
_cell_angle_beta 90.00
_cell_angle_gamma 90.00
_symmetry_space_group_name_H-M 'F -4 3 m'
_symmetry_Int_Tables_number 216
_symmetry_space_group_name_Hall 'F -4 2 3'
loop_
_atom_site_label
_atom_site_type_symbol
_atom_site_fract_x
_atom_site_fract_y
_atom_site_fract_z
_atom_site_occupancy
Ta1 Ta 0.000 0.000 0.000 1
Cu1 Cu 0.000 0.000 0.500 1
Cu2 Cu 0.250 0.250 0.250 1
Ge1 Ge 0.250 0.250 0.750 1
```

Largest 8 diffraction maxima, by intensity, 2θ = 10–90°:
41.54°, rel. 100, hkl 2 2 0
75.80°, rel. 32, hkl 4 2 2
25.09°, rel. 19, hkl 1 1 1
60.21°, rel. 16, hkl 4 0 0
49.15°, rel. 10, hkl 3 1 1
29.05°, rel. 9, hkl 2 0 0
66.26°, rel. 4, hkl 3 3 1
81.32°, rel. 3, hkl 5 1 1

***

No. 4
# Sc4TlCuN2
Computed powder diffraction line list, Cu Kα, 1.54184 Å. Input: a PBE-relaxed structure.
No peak broadening, texture or thermal motion is included.

Structural model:
```
data_Sc4TlCuN2
_cell_length_a 3.2516
_cell_length_b 3.2516
_cell_length_c 14.1211
_cell_angle_alpha 90.00
_cell_angle_beta 90.00
_cell_angle_gamma 120.00
_symmetry_space_group_name_H-M 'P -6 m 2'
_symmetry_Int_Tables_number 187
_symmetry_space_group_name_Hall 'P -6 2'
loop_
_atom_site_label
_atom_site_type_symbol
_atom_site_fract_x
_atom_site_fract_y
_atom_site_fract_z
_atom_site_occupancy
Sc1 Sc 0.0000 0.0000 0.1454 1
Sc2 Sc 0.3333 0.6667 0.3200 1
Tl1 Tl 0.0000 0.0000 0.5000 1
Cu1 Cu 0.3333 0.6667 0.0000 1
N1 N 0.6667 0.3333 0.2400 1
```

Largest 8 diffraction maxima, by intensity, 2θ = 10–90°:
37.21°, rel. 100, hkl 1 0 3
31.76°, rel. 34, hkl 1 0 0
12.54°, rel. 34, hkl 0 0 2
34.28°, rel. 30, hkl 1 0 2
32.42°, rel. 26, hkl 1 0 1
56.61°, rel. 21, hkl 1 1 0
45.49°, rel. 18, hkl 1 0 5
50.54°, rel. 17, hkl 1 0 6